The following is a theoretical X-ray diffraction stick pattern of HoMg4Sc5. It was derived from a structure optimized by DFT (GGA-PBE), using Cu Kα (weighted mean of Kα1 and Kα2).
Kinematic intensities with the Lorentz-polarization factor, no thermal factor.

Most intense lines, 10 to 80 degrees two-theta, sorted by position:
Position (°2θ)	intensity
13.7	15
25.6	20
26.8	19
28.8	19
31.3	22
34.4	100
35.9	48
51.7	16
60.5	14
63.6	31

Structure:
a = 3.5364 Å, b = 3.5364 Å, c = 19.3442 Å
α = 90.00°, β = 90.00°, γ = 90.00°
Atoms (fractional coordinates):
Ho1 0.0000 0.0000 0.0000
Mg1 0.0000 0.0000 0.2140
Mg2 0.0000 0.0000 0.4041
Mg3 0.0000 0.0000 0.5959
Mg4 0.0000 0.0000 0.7860
Sc1 0.5000 0.5000 0.1175
Sc2 0.5000 0.5000 0.3092
Sc3 0.5000 0.5000 0.5000
Sc4 0.5000 0.5000 0.6908
Sc5 0.5000 0.5000 0.8825